The following is a theoretical X-ray diffraction stick pattern of PmHoIrPb. It was derived from DFT lattice parameters and positions (GGA-PBE), using a wavelength of 1.5418 Å.

Crystal structure
```
data_PmHoIrPb
_cell_length_a 3.528
_cell_length_b 3.528
_cell_length_c 8.085
_cell_angle_alpha 90.00
_cell_angle_beta 90.00
_cell_angle_gamma 90.00
_symmetry_space_group_name_H-M 'P 4 m m'
_symmetry_Int_Tables_number 99
loop_
_symmetry_equiv_pos_as_xyz
'x,y,z'
'-y,x,z'
'-x,-y,z'
'y,-x,z'
'-x,y,z'
'y,x,z'
'x,-y,z'
'-y,-x,z'
loop_
_atom_site_label
_atom_site_fract_x
_atom_site_fract_y
_atom_site_fract_z
Pm1 0.000 0.000 0.000
Ho1 0.000 0.000 0.590
Ir1 0.500 0.500 0.782
Pb1 0.500 0.500 0.304
```

Largest 12 diffraction maxima, by intensity, 10° ≤ 2θ ≤ 90°:
| two_theta | I/Imax | index |
| --- | --- | --- |
| 33.7 | 100 | 1 0 2 |
| 36.0 | 49 | 1 1 0 |
| 63.3 | 38 | 2 1 2 |
| 51.8 | 18 | 2 0 0 |
| 58.8 | 13 | 1 1 4 |
| 86.1 | 12 | 3 0 2 |
| 87.4 | 8 | 3 1 0 |
| 70.9 | 7 | 2 0 4 |
| 44.8 | 7 | 0 0 4 |
| 42.2 | 7 | 1 0 3 |
| 10.9 | 6 | 0 0 1 |
| 76.3 | 6 | 2 2 0 |